# 1
La4B4I5: computed XRD peak list (Cu Ka), based on a PBE-relaxed structure.

Most intense lines, 2θ from 10° to 90°, in order of rising 2θ:
d 4.818, 2θ = 18.4°, intensity 14, (4 0 -1)
d 3.347, 2θ = 26.6°, intensity 100, (1 1 -2)
d 3.089, 2θ = 28.9°, intensity 37, (6 0 0)
d 2.823, 2θ = 31.7°, intensity 19, (5 1 0)
d 2.611, 2θ = 34.4°, intensity 24, (2 0 -4)
d 2.306, 2θ = 39.1°, intensity 19, (7 1 -2)
d 2.234, 2θ = 40.4°, intensity 22, (5 1 2)
d 2.180, 2θ = 41.4°, intensity 16, (0 2 0)
d 1.781, 2θ = 51.3°, intensity 15, (6 2 0)
d 1.673, 2θ = 54.9°, intensity 12, (2 2 -4)

```
data_La4B4I5
_cell_length_a 19.514
_cell_length_b 4.361
_cell_length_c 10.455
_cell_angle_alpha 90.00
_cell_angle_beta 108.39
_cell_angle_gamma 90.00
_space_group_name_H-M_alt 'C 1 m 1'
_space_group_IT_number 8
_space_group_name_Hall 'C -2y'
loop_
_atom_site_label
_atom_site_fract_x
_atom_site_fract_y
_atom_site_fract_z
_atom_site_occupancy
La1 0.000 0.000 0.000 1
La2 0.020 0.000 0.501 1
La3 0.145 0.500 0.318 1
La4 0.375 0.000 0.183 1
B1 0.007 0.500 0.156 1
B2 0.010 0.184 0.250 1
B3 0.013 0.500 0.345 1
I1 0.023 0.500 0.760 1
I2 0.180 0.000 0.102 1
I3 0.196 0.000 0.570 1
I4 0.323 0.500 0.931 1
I5 0.339 0.500 0.400 1
```

---

# 2
Sr2BIN2: computed XRD peak list (Cu Ka), based on a PBE-relaxed structure.

Most intense lines, 2θ from 10° to 90°, in order of rising 2θ:
d 4.071, 2θ = 21.8°, intensity 20, (1 0 3)
d 3.759, 2θ = 23.7°, intensity 18, (1 1 1)
d 3.350, 2θ = 26.6°, intensity 58, (0 0 4)
d 3.288, 2θ = 27.1°, intensity 100, (2 1 0)
d 3.209, 2θ = 27.8°, intensity 31, (1 0 -4)
d 2.964, 2θ = 30.2°, intensity 22, (1 1 -3)
d 2.365, 2θ = 38.0°, intensity 19, (2 1 -4)
d 2.329, 2θ = 38.7°, intensity 29, (2 1 4)
d 2.119, 2θ = 42.7°, intensity 27, (0 2 0)
d 1.791, 2θ = 51.0°, intensity 21, (0 2 4)

```
data_Sr2BIN2
_cell_length_a 10.421
_cell_length_b 4.239
_cell_length_c 13.412
_cell_angle_alpha 90.00
_cell_angle_beta 91.42
_cell_angle_gamma 90.00
_space_group_name_H-M_alt 'P 1 21/m 1'
_space_group_IT_number 11
_space_group_name_Hall '-P 2yb'
loop_
_atom_site_label
_atom_site_fract_x
_atom_site_fract_y
_atom_site_fract_z
_atom_site_occupancy
Sr1 0.076 0.250 0.404 1
Sr2 0.195 0.250 0.883 1
Sr3 0.352 0.750 0.129 1
Sr4 0.396 0.750 0.675 1
B1 0.161 0.250 0.647 1
B2 0.417 0.750 0.896 1
I1 0.079 0.250 0.142 1
I2 0.347 0.750 0.404 1
N1 0.053 0.250 0.591 1
N2 0.269 0.250 0.705 1
N3 0.305 0.750 0.945 1
N4 0.478 0.250 0.160 1
```